# 1
CsSr2In2: simulated powder diffraction line list (λ = 1.5418 Å (Cu Kα)), based on a DFT-relaxed cell (GGA-PBE, Alexandria).

Top 10 peaks for 2θ = 10–90°, by intensity:
| 2theta | Rel. int. |
| --- | --- |
| 30.2 | 100 |
| 28.0 | 79 |
| 54.2 | 28 |
| 55.0 | 23 |
| 28.8 | 18 |
| 25.9 | 14 |
| 89.2 | 12 |
| 39.9 | 12 |
| 46.3 | 11 |
| 25.0 | 11 |

Structure:
Cell: 10.0938 10.0938 3.9222 Å, 90.00 90.00 90.00°
Fractional positions:
Cs1 0.0000 0.0000 0.0000
Cs2 0.5000 0.5000 0.0000
Sr1 0.1397 0.3603 0.0000
Sr2 0.3603 0.8603 0.0000
Sr3 0.6397 0.1397 0.0000
Sr4 0.8603 0.6397 0.0000
In1 0.1531 0.6531 0.5000
In2 0.3469 0.1531 0.5000
In3 0.6531 0.8469 0.5000
In4 0.8469 0.3469 0.5000

***

# 2
Ta2Mn5Be2Al: simulated powder diffraction line list (λ = 1.5418 Å (Cu Kα)), based on a DFT-relaxed cell (GGA-PBE, Alexandria).

Top 10 peaks for 2θ = 10–90°, by intensity:
| 2theta | Rel. int. |
| --- | --- |
| 36.3 | 100 |
| 42.6 | 67 |
| 43.3 | 57 |
| 22.7 | 57 |
| 43.9 | 27 |
| 34.8 | 26 |
| 20.3 | 26 |
| 74.4 | 25 |
| 40.6 | 20 |
| 75.7 | 15 |

Structure:
Cell: 8.7572 8.7572 3.1902 Å, 90.00 90.00 90.00°
Fractional positions:
Ta1 0.1755 0.3245 0.0000
Ta2 0.3245 0.8245 0.0000
Ta3 0.6755 0.1755 0.0000
Ta4 0.8245 0.6755 0.0000
Mn1 0.0000 0.5000 0.5000
Mn2 0.0666 0.7846 0.5000
Mn3 0.2154 0.0666 0.5000
Mn4 0.2846 0.5666 0.5000
Mn5 0.4334 0.2846 0.5000
Mn6 0.5000 0.0000 0.5000
Mn7 0.5666 0.7154 0.5000
Mn8 0.7154 0.4334 0.5000
Mn9 0.7846 0.9334 0.5000
Mn10 0.9334 0.2154 0.5000
Be1 0.1192 0.6192 0.0000
Be2 0.3808 0.1192 0.0000
Be3 0.6192 0.8808 0.0000
Be4 0.8808 0.3808 0.0000
Al1 0.0000 0.0000 0.0000
Al2 0.5000 0.5000 0.0000

***

# 3
Nd10DyTm6: simulated powder diffraction line list (λ = 1.5418 Å (Cu Kα)), based on a DFT-relaxed cell (GGA-PBE, Alexandria).

Top 10 peaks for 2θ = 10–90°, by intensity:
| 2theta | Rel. int. |
| --- | --- |
| 31.8 | 100 |
| 31.6 | 81 |
| 30.7 | 38 |
| 45.4 | 27 |
| 56.3 | 27 |
| 56.7 | 19 |
| 48.5 | 13 |
| 62.3 | 11 |
| 24.6 | 9 |
| 40.5 | 9 |

Structure:
Cell: 9.8089 9.8089 6.8864 Å, 90.00 90.00 120.00°
Fractional positions:
Nd1 0.0000 0.2763 0.3181
Nd2 0.0000 0.7237 0.6819
Nd3 0.2763 0.0000 0.3181
Nd4 0.2763 0.2763 0.6819
Nd5 0.3333 0.6667 0.0000
Nd6 0.3333 0.6667 0.5000
Nd7 0.6667 0.3333 0.0000
Nd8 0.6667 0.3333 0.5000
Nd9 0.7237 0.0000 0.6819
Nd10 0.7237 0.7237 0.3181
Dy1 0.0000 0.0000 0.0000
Tm1 0.0000 0.3675 0.8147
Tm2 0.0000 0.6325 0.1853
Tm3 0.3675 0.0000 0.8147
Tm4 0.3675 0.3675 0.1853
Tm5 0.6325 0.0000 0.1853
Tm6 0.6325 0.6325 0.8147

***

# 4
SrRhO6: simulated powder diffraction line list (λ = 1.5418 Å (Cu Kα)), based on a DFT-relaxed cell (GGA-PBE, Alexandria).

Top 10 peaks for 2θ = 10–90°, by intensity:
| 2theta | Rel. int. |
| --- | --- |
| 25.2 | 100 |
| 28.3 | 84 |
| 46.4 | 71 |
| 64.8 | 24 |
| 38.3 | 22 |
| 51.7 | 21 |
| 60.0 | 16 |
| 44.4 | 15 |
| 70.5 | 12 |
| 52.0 | 12 |

Structure:
Cell: 4.7592 4.7592 4.7592 Å, 95.90 95.90 95.90°
Fractional positions:
Sr1 0.0000 0.0000 0.0000
Rh1 0.5000 0.5000 0.5000
O1 0.2198 0.2198 0.5968
O2 0.2198 0.5968 0.2198
O3 0.4032 0.7802 0.7802
O4 0.5968 0.2198 0.2198
O5 0.7802 0.4032 0.7802
O6 0.7802 0.7802 0.4032

***

# 5
Cs2RbAc: simulated powder diffraction line list (λ = 1.5418 Å (Cu Kα)), based on a DFT-relaxed cell (GGA-PBE, Alexandria).

Top 10 peaks for 2θ = 10–90°, by intensity:
| 2theta | Rel. int. |
| --- | --- |
| 23.8 | 100 |
| 20.4 | 73 |
| 23.6 | 66 |
| 33.8 | 53 |
| 46.6 | 50 |
| 29.2 | 41 |
| 41.4 | 37 |
| 32.5 | 34 |
| 30.2 | 26 |
| 65.4 | 20 |

Structure:
Cell: 17.5721 17.5721 17.5721 Å, 14.27 14.27 14.27°
Fractional positions:
Cs1 0.0789 0.0789 0.0789
Cs2 0.9211 0.9211 0.9211
Rb1 0.5000 0.5000 0.5000
Ac1 0.0000 0.0000 0.0000